(1)
Diffraction record for MnCoSe. The X-ray diffraction stick pattern is theoretical, not measured: it uses the PBE geometry in the Materials Project and Cu Kα.
No peak broadening, texture or thermal motion is included.

Most intense lines, 2θ from 5° to 70°, sorted by position:
- 27.45°, rel. 31.4, (1 1 1)
- 31.80°, rel. 19.5, (2 0 0)
- 45.60°, rel. 100.0, (2 2 0)
- 54.05°, rel. 13.4, (3 1 1)
- 56.66°, rel. 4.8, (2 2 2)
- 66.46°, rel. 15.2, (4 0 0)

Atomic structure:
Lattice parameters (Å, degrees): 5.627 5.627 5.627 90.00 90.00 90.00
Space group F-43m (No. 216)
Inequivalent atoms, fractional coordinates:
Mn1 0.000 0.000 0.000 [4 per cell]
Co1 0.250 0.250 0.750 [4 per cell]
Se1 0.000 0.000 0.500 [4 per cell]



(2)
Diffraction record for Ti3P4O14. The X-ray diffraction stick pattern is theoretical, not measured: it uses the PBE geometry in the Materials Project and Cu Kα.
No peak broadening, texture or thermal motion is included.

Most intense lines, 2θ from 5° to 70°, sorted by position:
- 12.80°, rel. 81.6, (1 0 0)
- 14.91°, rel. 39.0, (0 1 1)
- 17.27°, rel. 82.0, (1 1 -1)
- 22.72°, rel. 20.6, (0 1 2)
- 27.16°, rel. 30.3, (1 0 2)
- 28.74°, rel. 44.8, (2 1 -2)
- 29.44°, rel. 100.0, (1 2 1)
- 29.84°, rel. 55.1, (1 2 -2)
- 35.52°, rel. 25.8, (0 3 1)
- 59.66°, rel. 20.0, (1 3 -5)

Atomic structure:
Lattice parameters (Å, degrees): 7.390 7.905 9.628 90.00 110.61 90.00
Space group P2_1/c (No. 14)
Inequivalent atoms, fractional coordinates:
Ti1 0.000 0.000 0.000 [2 per cell]
Ti2 0.186 0.133 0.528 [4 per cell]
P1 0.119 0.709 0.805 [4 per cell]
P2 0.400 0.049 0.295 [4 per cell]
O1 0.003 0.711 0.637 [4 per cell]
O2 0.036 0.578 0.888 [4 per cell]
O3 0.137 0.621 0.380 [4 per cell]
O4 0.271 0.112 0.137 [4 per cell]
O5 0.325 0.642 0.813 [4 per cell]
O6 0.363 0.159 0.412 [4 per cell]
O7 0.389 0.519 0.182 [4 per cell]



Repeat the second record exactly.
Diffraction record for Ti3P4O14. The X-ray diffraction stick pattern is theoretical, not measured: it uses the PBE geometry in the Materials Project and Cu Kα.
No peak broadening, texture or thermal motion is included.

Most intense lines, 2θ from 5° to 70°, sorted by position:
- 12.80°, rel. 81.6, (1 0 0)
- 14.91°, rel. 39.0, (0 1 1)
- 17.27°, rel. 82.0, (1 1 -1)
- 22.72°, rel. 20.6, (0 1 2)
- 27.16°, rel. 30.3, (1 0 2)
- 28.74°, rel. 44.8, (2 1 -2)
- 29.44°, rel. 100.0, (1 2 1)
- 29.84°, rel. 55.1, (1 2 -2)
- 35.52°, rel. 25.8, (0 3 1)
- 59.66°, rel. 20.0, (1 3 -5)

Atomic structure:
Lattice parameters (Å, degrees): 7.390 7.905 9.628 90.00 110.61 90.00
Space group P2_1/c (No. 14)
Inequivalent atoms, fractional coordinates:
Ti1 0.000 0.000 0.000 [2 per cell]
Ti2 0.186 0.133 0.528 [4 per cell]
P1 0.119 0.709 0.805 [4 per cell]
P2 0.400 0.049 0.295 [4 per cell]
O1 0.003 0.711 0.637 [4 per cell]
O2 0.036 0.578 0.888 [4 per cell]
O3 0.137 0.621 0.380 [4 per cell]
O4 0.271 0.112 0.137 [4 per cell]
O5 0.325 0.642 0.813 [4 per cell]
O6 0.363 0.159 0.412 [4 per cell]
O7 0.389 0.519 0.182 [4 per cell]